Diffraction record for LiCuCO3. The X-ray diffraction stick pattern is calculated, not measured: it uses a cell relaxed with PBE and λ = 1.5418 Å (Cu Kα).
Lines closer than 0.1° are merged.

Most intense lines, 10° ≤ 2θ ≤ 90°, in order of rising 2θ:
index, 2θ (°), Rel. int.
1 1 0, 21.69, 100.0
1 0 1, 30.99, 15.3
1 2 0, 33.41, 16.0
1 1 1, 35.90, 94.6
3 0 0, 38.04, 35.1
2 2 0, 44.24, 30.7
3 0 1, 48.05, 30.5
2 2 1, 53.30, 27.1
3 1 1, 54.97, 16.1
4 1 0, 59.74, 16.2

Cell and atoms:
Cell: 8.194 8.194 3.159 Å, 90.00 90.00 120.00°
Fractional positions:
1 Li 0.041 0.369 0.000
2 Li 0.329 0.959 0.000
3 Li 0.631 0.671 0.000
4 Cu 0.335 0.302 0.500
5 Cu 0.698 0.033 0.500
6 Cu 0.967 0.665 0.500
7 C 0.000 0.000 0.000
8 C 0.333 0.667 0.500
9 C 0.667 0.333 0.000
10 O 0.183 0.086 0.000
11 O 0.218 0.485 0.500
12 O 0.268 0.782 0.500
13 O 0.515 0.732 0.500
14 O 0.557 0.406 0.000
15 O 0.594 0.151 0.000
16 O 0.849 0.443 0.000
17 O 0.903 0.817 0.000
18 O 0.914 0.097 0.000